This entry pairs a crystal structure of HfH2Se with its simulated powder diffractogram. Radiation: λ = 1.5418 Å (Cu Kα). Structure: a structure optimized by DFT (PBE).
Peak positions follow from Bragg's law for the DFT cell and can differ from measured ones.

Structure:
```
HfH2Se
1.0
3.480 0.000 0.000
0.000 5.002 0.000
0.000 0.000 5.488
Hf H Se
2 4 2
Direct
0.000 0.111 0.000 Hf
0.500 0.889 0.500 Hf
0.000 0.100 0.632 H
0.000 0.873 0.313 H
0.500 0.127 0.813 H
0.500 0.900 0.132 H
0.000 0.624 0.795 Se
0.500 0.376 0.295 Se
```

Peak list (10 most intense, 2θ = 15–90°, sorted by position)
2θ 17.73, intensity 26.2; 2θ 24.07, intensity 49.1; 2θ 30.41, intensity 100.0; 2θ 35.42, intensity 50.6; 2θ 37.38, intensity 44.2; 2θ 39.60, intensity 49.0; 2θ 44.61, intensity 50.5; 2θ 45.85, intensity 39.1; 2θ 60.06, intensity 21.8; 2θ 67.79, intensity 20.2


This entry pairs a crystal structure of KBeSi4 with its simulated powder diffractogram. Radiation: λ = 1.5418 Å (Cu Kα). Structure: a structure optimized by DFT (PBE).
Peak positions follow from Bragg's law for the DFT cell and can differ from measured ones.

Structure:
```
KBeSi4
1.0
0.000 3.742 3.742
3.742 0.000 3.742
3.742 3.742 0.000
K Be Si
1 1 4
Direct
0.000 0.000 0.000 K
0.250 0.250 0.250 Be
0.129 0.624 0.624 Si
0.624 0.129 0.624 Si
0.624 0.624 0.129 Si
0.624 0.624 0.624 Si
```

Peak list (10 most intense, 2θ = 15–90°, sorted by position)
2θ 20.55, intensity 26.9; 2θ 23.78, intensity 16.0; 2θ 33.87, intensity 20.7; 2θ 39.95, intensity 100.0; 2θ 41.81, intensity 48.0; 2θ 48.66, intensity 7.7; 2θ 64.72, intensity 29.8; 2θ 71.27, intensity 25.2; 2θ 84.97, intensity 10.4; 2θ 86.19, intensity 17.8


This entry pairs a crystal structure of KCaCd2F8 with its simulated powder diffractogram. Radiation: λ = 1.5418 Å (Cu Kα). Structure: a structure optimized by DFT (PBE).
Peak positions follow from Bragg's law for the DFT cell and can differ from measured ones.

Structure:
```
KCaCd2F8
1.0
3.784 0.000 0.000
0.000 8.513 0.000
-0.009 0.000 5.637
K Ca Cd F
1 1 2 8
Direct
0.000 0.000 0.000 K
0.000 0.500 0.000 Ca
0.500 0.278 0.500 Cd
0.500 0.722 0.500 Cd
0.000 0.269 0.257 F
0.000 0.269 0.743 F
0.000 0.731 0.257 F
0.000 0.731 0.743 F
0.499 0.000 0.673 F
0.500 0.500 0.247 F
0.500 0.500 0.753 F
0.501 0.000 0.327 F
```

Peak list (10 most intense, 2θ = 15–90°, sorted by position)
2θ 15.72, intensity 51.4; 2θ 26.24, intensity 92.2; 2θ 28.41, intensity 100.0; 2θ 35.45, intensity 16.2; 2θ 42.48, intensity 24.3; 2θ 45.40, intensity 48.1; 2θ 45.47, intensity 48.3; 2θ 48.09, intensity 21.8; 2θ 51.89, intensity 23.6; 2θ 55.60, intensity 21.9


This entry pairs a crystal structure of Tl5Ge2Te6 with its simulated powder diffractogram. Radiation: λ = 1.5418 Å (Cu Kα). Structure: a structure optimized by DFT (PBE).
Peak positions follow from Bragg's law for the DFT cell and can differ from measured ones.

Structure:
```
Tl5Ge2Te6
1.0
13.140 0.000 0.000
0.000 15.123 0.000
0.000 0.000 4.755
Tl Ge Te
10 4 12
Direct
0.000 0.000 0.000 Tl
0.071 0.250 0.000 Tl
0.171 0.507 0.000 Tl
0.329 0.007 0.000 Tl
0.429 0.750 0.000 Tl
0.500 0.500 0.000 Tl
0.571 0.250 0.000 Tl
0.671 0.993 0.000 Tl
0.829 0.493 0.000 Tl
0.929 0.750 0.000 Tl
0.178 0.715 0.500 Ge
0.322 0.215 0.500 Ge
0.678 0.785 0.500 Ge
0.822 0.285 0.500 Ge
0.016 0.608 0.500 Te
0.165 0.101 0.500 Te
0.183 0.812 0.000 Te
0.317 0.312 0.000 Te
0.335 0.601 0.500 Te
0.484 0.108 0.500 Te
0.516 0.892 0.500 Te
0.665 0.399 0.500 Te
0.683 0.688 0.000 Te
0.817 0.188 0.000 Te
0.835 0.899 0.500 Te
0.984 0.392 0.500 Te
```

Peak list (10 most intense, 2θ = 15–90°, sorted by position)
2θ 23.11, intensity 38.6; 2θ 26.97, intensity 62.8; 2θ 28.33, intensity 98.4; 2θ 29.18, intensity 35.8; 2θ 30.20, intensity 100.0; 2θ 32.54, intensity 35.8; 2θ 33.00, intensity 45.5; 2θ 33.69, intensity 39.1; 2θ 37.84, intensity 63.5; 2θ 59.17, intensity 35.1


This entry pairs a crystal structure of La6InGe2Br3 with its simulated powder diffractogram. Radiation: λ = 1.5418 Å (Cu Kα). Structure: a structure optimized by DFT (PBE).
Peak positions follow from Bragg's law for the DFT cell and can differ from measured ones.

Structure:
```
La6InGe2Br3
1.0
9.699 -2.221 0.000
9.699 2.221 0.000
-1.761 0.000 8.796
La In Ge Br
6 1 2 3
Direct
0.008 0.008 0.258 La
0.327 0.327 0.429 La
0.333 0.333 0.892 La
0.667 0.667 0.108 La
0.673 0.673 0.571 La
0.992 0.992 0.742 La
0.500 0.500 0.000 In
0.168 0.168 0.338 Ge
0.832 0.832 0.662 Ge
0.166 0.166 0.834 Br
0.500 0.500 0.500 Br
0.834 0.834 0.166 Br
```

Peak list (10 most intense, 2θ = 15–90°, sorted by position)
2θ 28.15, intensity 50.4; 2θ 28.29, intensity 100.0; 2θ 39.80, intensity 38.8; 2θ 40.24, intensity 17.7; 2θ 40.63, intensity 19.3; 2θ 40.86, intensity 35.3; 2θ 48.93, intensity 9.9; 2θ 50.16, intensity 20.1; 2θ 58.51, intensity 11.6; 2θ 73.38, intensity 12.1


This entry pairs a crystal structure of Pr2Er2Tm2Sc with its simulated powder diffractogram. Radiation: λ = 1.5418 Å (Cu Kα). Structure: a structure optimized by DFT (PBE).
Peak positions follow from Bragg's law for the DFT cell and can differ from measured ones.

Structure:
```
Pr2Er2Tm2Sc
1.0
11.254 0.000 0.000
0.000 3.436 0.000
-2.367 0.000 11.530
Pr Er Tm Sc
4 4 4 2
Direct
0.201 0.000 0.369 Pr
0.299 0.500 0.631 Pr
0.701 0.500 0.369 Pr
0.799 0.000 0.631 Pr
0.153 0.000 0.071 Er
0.347 0.500 0.929 Er
0.653 0.500 0.071 Er
0.847 0.000 0.929 Er
0.093 0.000 0.773 Tm
0.407 0.500 0.227 Tm
0.593 0.500 0.773 Tm
0.907 0.000 0.227 Tm
0.000 0.500 0.500 Sc
0.500 0.000 0.500 Sc
```

Peak list (10 most intense, 2θ = 15–90°, sorted by position)
2θ 27.18, intensity 73.1; 2θ 27.82, intensity 29.0; 2θ 30.93, intensity 100.0; 2θ 31.83, intensity 75.8; 2θ 32.01, intensity 75.6; 2θ 34.88, intensity 62.4; 2θ 35.55, intensity 37.2; 2θ 35.78, intensity 58.6; 2θ 37.08, intensity 39.8; 2θ 54.06, intensity 33.4


This entry pairs a crystal structure of LaPm6Tl4 with its simulated powder diffractogram. Radiation: λ = 1.5418 Å (Cu Kα). Structure: a structure optimized by DFT (PBE).
Peak positions follow from Bragg's law for the DFT cell and can differ from measured ones.

Structure:
```
LaPm6Tl4
1.0
10.407 0.000 0.000
-5.204 9.013 0.000
0.000 0.000 3.822
La Pm Tl
1 6 4
Direct
0.000 0.000 0.000 La
0.192 0.385 0.500 Pm
0.192 0.808 0.500 Pm
0.541 0.082 0.000 Pm
0.541 0.459 0.000 Pm
0.615 0.808 0.500 Pm
0.918 0.459 0.000 Pm
0.323 0.162 0.500 Tl
0.333 0.667 0.000 Tl
0.838 0.162 0.500 Tl
0.838 0.677 0.500 Tl
```

Peak list (10 most intense, 2θ = 15–90°, sorted by position)
2θ 19.70, intensity 23.5; 2θ 28.99, intensity 51.8; 2θ 29.74, intensity 38.3; 2θ 30.67, intensity 100.0; 2θ 34.47, intensity 94.6; 2θ 35.29, intensity 80.8; 2θ 47.58, intensity 21.8; 2θ 52.31, intensity 22.0; 2θ 56.44, intensity 22.3; 2θ 60.07, intensity 38.7


This entry pairs a crystal structure of YGa9Ir2 with its simulated powder diffractogram. Radiation: λ = 1.5418 Å (Cu Kα). Structure: a structure optimized by DFT (PBE).
Peak positions follow from Bragg's law for the DFT cell and can differ from measured ones.

Structure:
```
YGa9Ir2
1.0
-5.598 5.598 3.327
5.598 -5.598 3.327
5.598 5.598 -3.327
Y Ga Ir
2 18 4
Direct
0.375 0.625 0.750 Y
0.625 0.375 0.250 Y
0.107 0.550 0.320 Ga
0.107 0.786 0.557 Ga
0.125 0.875 0.250 Ga
0.214 0.270 0.320 Ga
0.214 0.893 0.943 Ga
0.270 0.214 0.820 Ga
0.270 0.450 0.057 Ga
0.450 0.270 0.557 Ga
0.450 0.893 0.180 Ga
0.550 0.107 0.820 Ga
0.550 0.730 0.443 Ga
0.730 0.550 0.943 Ga
0.730 0.786 0.180 Ga
0.786 0.107 0.057 Ga
0.786 0.730 0.680 Ga
0.875 0.125 0.750 Ga
0.893 0.214 0.443 Ga
0.893 0.450 0.680 Ga
0.000 0.000 0.000 Ir
0.000 0.000 0.500 Ir
0.000 0.500 0.000 Ir
0.500 0.000 0.500 Ir
```

Peak list (10 most intense, 2θ = 15–90°, sorted by position)
2θ 15.49, intensity 54.1; 2θ 22.46, intensity 25.7; 2θ 31.27, intensity 24.0; 2θ 31.80, intensity 57.4; 2θ 35.87, intensity 35.7; 2θ 37.08, intensity 72.4; 2θ 41.50, intensity 30.5; 2θ 42.60, intensity 100.0; 2θ 44.68, intensity 30.7; 2θ 45.34, intensity 63.1


This entry pairs a crystal structure of Pm3Ag5Pd2 with its simulated powder diffractogram. Radiation: λ = 1.5418 Å (Cu Kα). Structure: a structure optimized by DFT (PBE).
Peak positions follow from Bragg's law for the DFT cell and can differ from measured ones.

Structure:
```
Pm3Ag5Pd2
1.0
-5.808 6.583 2.996
5.808 -6.583 2.996
5.808 6.583 -2.996
Pm Ag Pd
6 10 4
Direct
0.242 0.625 0.867 Pm
0.250 0.250 0.000 Pm
0.258 0.125 0.382 Pm
0.742 0.875 0.618 Pm
0.750 0.750 0.000 Pm
0.758 0.375 0.133 Pm
0.145 0.375 0.520 Ag
0.250 0.505 0.255 Ag
0.250 0.750 0.500 Ag
0.250 0.995 0.745 Ag
0.355 0.875 0.230 Ag
0.645 0.125 0.770 Ag
0.750 0.005 0.255 Ag
0.750 0.250 0.500 Ag
0.750 0.495 0.745 Ag
0.855 0.625 0.480 Ag
0.152 0.868 0.020 Pd
0.348 0.368 0.716 Pd
0.652 0.632 0.284 Pd
0.848 0.132 0.980 Pd
```

Peak list (10 most intense, 2θ = 15–90°, sorted by position)
2θ 29.55, intensity 62.3; 2θ 32.84, intensity 100.0; 2θ 33.74, intensity 92.7; 2θ 40.51, intensity 71.3; 2θ 40.72, intensity 21.1; 2θ 41.47, intensity 20.0; 2θ 43.40, intensity 82.9; 2θ 60.30, intensity 21.6; 2θ 61.39, intensity 30.7; 2θ 73.27, intensity 19.7


This entry pairs a crystal structure of BaIn2HgBi with its simulated powder diffractogram. Radiation: λ = 1.5418 Å (Cu Kα). Structure: a structure optimized by DFT (PBE).
Peak positions follow from Bragg's law for the DFT cell and can differ from measured ones.

Structure:
```
BaIn2HgBi
1.0
4.719 0.000 0.000
0.000 4.719 0.000
0.000 0.000 9.193
Ba In Hg Bi
1 2 1 1
Direct
0.000 0.000 0.000 Ba
0.000 0.500 0.379 In
0.500 0.000 0.379 In
0.000 0.000 0.627 Hg
0.500 0.500 0.123 Bi
```

Peak list (10 most intense, 2θ = 15–90°, sorted by position)
2θ 21.16, intensity 75.0; 2θ 26.71, intensity 18.6; 2θ 28.45, intensity 42.6; 2θ 33.18, intensity 100.0; 2θ 34.91, intensity 53.0; 2θ 38.14, intensity 48.1; 2θ 44.02, intensity 23.6; 2θ 52.66, intensity 33.4; 2θ 55.04, intensity 16.6; 2θ 65.79, intensity 27.8


This entry pairs a crystal structure of Pm5Cd4Ga with its simulated powder diffractogram. Radiation: λ = 1.5418 Å (Cu Kα). Structure: a structure optimized by DFT (PBE).
Peak positions follow from Bragg's law for the DFT cell and can differ from measured ones.

Structure:
```
Pm5Cd4Ga
1.0
3.761 0.000 0.000
0.000 3.761 0.000
0.000 0.000 19.361
Pm Cd Ga
5 4 1
Direct
0.000 0.000 0.000 Pm
0.000 0.000 0.204 Pm
0.000 0.000 0.410 Pm
0.000 0.000 0.590 Pm
0.000 0.000 0.796 Pm
0.500 0.500 0.102 Cd
0.500 0.500 0.305 Cd
0.500 0.500 0.695 Cd
0.500 0.500 0.898 Cd
0.500 0.500 0.500 Ga
```

Peak list (10 most intense, 2θ = 15–90°, sorted by position)
2θ 33.21, intensity 100.0; 2θ 33.70, intensity 49.5; 2θ 46.93, intensity 8.6; 2θ 48.40, intensity 17.7; 2θ 59.01, intensity 17.1; 2θ 59.96, intensity 35.7; 2θ 69.71, intensity 10.3; 2θ 78.32, intensity 6.3; 2θ 80.54, intensity 7.6; 2θ 80.81, intensity 7.8


This entry pairs a crystal structure of Nd5TmIn8 with its simulated powder diffractogram. Radiation: λ = 1.5418 Å (Cu Kα). Structure: a structure optimized by DFT (PBE).
Peak positions follow from Bragg's law for the DFT cell and can differ from measured ones.

Structure:
```
Nd5TmIn8
1.0
-4.716 4.716 4.638
4.716 -4.716 4.638
4.716 4.716 -4.638
Nd Tm In
5 1 8
Direct
0.000 0.000 0.000 Nd
0.253 0.618 0.128 Nd
0.382 0.510 0.635 Nd
0.490 0.125 0.872 Nd
0.875 0.747 0.365 Nd
0.750 0.250 0.500 Tm
0.109 0.200 0.735 In
0.110 0.695 0.744 In
0.305 0.049 0.415 In
0.465 0.374 0.265 In
0.626 0.891 0.091 In
0.634 0.890 0.585 In
0.800 0.535 0.909 In
0.951 0.366 0.256 In
```

Peak list (10 most intense, 2θ = 15–90°, sorted by position)
2θ 23.16, intensity 14.9; 2θ 29.98, intensity 100.0; 2θ 30.42, intensity 45.5; 2θ 35.66, intensity 38.7; 2θ 35.79, intensity 43.8; 2θ 36.01, intensity 45.2; 2θ 42.88, intensity 11.9; 2θ 45.41, intensity 12.2; 2θ 47.35, intensity 18.6; 2θ 60.56, intensity 21.2


What is the formula in the fourth record?
Tl5Ge2Te6